No. 1
# Na3AsCl6
Computed X-ray powder pattern, Cu Kα (weighted mean of Kα1 and Kα2). Input: a structure optimized by DFT (PBE).
No peak broadening, texture or thermal motion is included.

The 8 most intense peaks (10° ≤ 2θ ≤ 90°), by angle:
two_theta  d [Å]  Rel. int.  index
14.81  5.980  37  1 1 1
17.12  5.179  76  2 0 0
24.30  3.662  23  2 2 0
29.88  2.990  41  2 2 2
34.64  2.590  100  4 0 0
38.88  2.316  32  4 2 0
49.80  1.831  63  4 4 0
83.47  1.158  25  8 4 0

Cell: 10.358 10.358 10.358 Å, 90.00 90.00 90.00°
Space group Fm-3m (No. 225)
Inequivalent atoms, fractional coordinates:
Na1 0.000 0.000 0.000 (multiplicity 4)
Na2 0.250 0.250 0.250 (multiplicity 8)
As1 0.000 0.000 0.500 (multiplicity 4)
Cl1 0.000 0.000 0.260 (multiplicity 24)

***

No. 2
# Rb2NaAsCl6
Computed X-ray powder pattern, Cu Kα (weighted mean of Kα1 and Kα2). Input: a structure optimized by DFT (PBE).
No peak broadening, texture or thermal motion is included.

The 8 most intense peaks (10° ≤ 2θ ≤ 90°), by angle:
two_theta  d [Å]  Rel. int.  index
14.53  6.097  23  1 1 1
23.83  3.734  87  2 2 0
29.30  3.049  70  2 2 2
33.96  2.640  100  4 0 0
41.91  2.156  39  4 2 2
48.78  1.867  65  4 4 0
57.92  1.592  24  6 2 2
81.53  1.181  27  8 4 0

Cell: 10.560 10.560 10.560 Å, 90.00 90.00 90.00°
Space group Fm-3m (No. 225)
Inequivalent atoms, fractional coordinates:
Rb1 0.250 0.250 0.250 (multiplicity 8)
Na1 0.000 0.000 0.000 (multiplicity 4)
As1 0.000 0.000 0.500 (multiplicity 4)
Cl1 0.000 0.000 0.262 (multiplicity 24)

***

No. 3
# RbNbAsClO5
Computed X-ray powder pattern, Cu Kα (weighted mean of Kα1 and Kα2). Input: a structure optimized by DFT (PBE).
No peak broadening, texture or thermal motion is included.

The 8 most intense peaks (10° ≤ 2θ ≤ 90°), by angle:
two_theta  d [Å]  Rel. int.  index
11.22  7.886  31  0 0 1
17.24  5.143  32  1 0 1
22.55  3.943  32  0 0 2
26.27  3.392  100  2 0 0
34.89  2.572  44  2 0 2
37.49  2.399  25  2 2 0
44.20  2.049  24  2 2 2
64.15  1.452  21  3 1 4

Cell: 6.784 6.784 7.886 Å, 90.00 90.00 90.00°
Space group P4/nmm (No. 129, origin choice 2)
Inequivalent atoms, fractional coordinates:
Rb1 0.250 0.750 0.000 (multiplicity 2)
Nb1 0.250 0.250 0.399 (multiplicity 2)
As1 0.250 0.750 0.500 (multiplicity 2)
Cl1 0.250 0.250 0.057 (multiplicity 2)
O1 0.052 0.750 0.636 (multiplicity 8)
O2 0.250 0.250 0.620 (multiplicity 2)

***

No. 4
# As3P3Pb10Cl2O24
Computed X-ray powder pattern, Cu Kα (weighted mean of Kα1 and Kα2). Input: a structure optimized by DFT (PBE).
No peak broadening, texture or thermal motion is included.

The 8 most intense peaks (10° ≤ 2θ ≤ 90°), by angle:
two_theta  d [Å]  Rel. int.  index
20.95  4.241  28  1 1 1
26.38  3.379  35  2 1 0
29.02  3.077  100  2 1 1
29.59  3.019  99  1 1 2
29.99  2.980  54  3 0 0
42.64  2.121  38  2 2 2
45.35  2.000  31  1 2 3
47.45  1.916  30  4 0 2

Cell: 10.3224 10.3224 7.4426 Å, 90.00 90.00 120.00°
Space group P-6 (No. 174)
Inequivalent atoms, fractional coordinates:
As1 0.0747 0.7134 0.0000 (multiplicity 3)
P1 0.0464 0.3037 0.5000 (multiplicity 3)
Pb1 0.0000 0.0000 0.2512 (multiplicity 2)
Pb2 0.3333 0.6667 0.2597 (multiplicity 2)
Pb3 0.4085 0.3171 0.5000 (multiplicity 3)
Pb4 0.4237 0.0793 0.0000 (multiplicity 3)
Cl1 0.6667 0.3333 0.2497 (multiplicity 2)
O1 0.0230 0.5961 0.1838 (multiplicity 6)
O2 0.0806 0.8583 0.5000 (multiplicity 3)
O3 0.1514 0.4762 0.5000 (multiplicity 3)
O4 0.1715 0.1706 0.0000 (multiplicity 3)
O5 0.1870 0.4566 0.0000 (multiplicity 3)
O6 0.3047 0.0575 0.3311 (multiplicity 6)

***

No. 5
# As3Pb2ClO6
Computed X-ray powder pattern, Cu Kα (weighted mean of Kα1 and Kα2). Input: a structure optimized by DFT (PBE).
No peak broadening, texture or thermal motion is included.

The 8 most intense peaks (10° ≤ 2θ ≤ 90°), by angle:
two_theta  d [Å]  Rel. int.  index
11.43  7.742  78  1 0 1
24.17  3.683  51  4 1 0
27.14  3.285  100  1 1 2
29.70  3.008  61  5 1 1
30.92  2.892  60  5 0 2
31.51  2.839  63  6 1 0
32.76  2.733  53  0 2 0
45.67  1.986  44  5 2 2

Cell: 19.932 5.467 8.402 Å, 90.00 90.00 90.00°
Space group Pnma (No. 62)
Inequivalent atoms, fractional coordinates:
As1 0.044 0.250 0.188 (multiplicity 4)
As2 0.167 0.750 0.760 (multiplicity 4)
As3 0.177 0.250 0.960 (multiplicity 4)
Pb1 0.059 0.250 0.610 (multiplicity 4)
Pb2 0.141 0.750 0.344 (multiplicity 4)
Cl1 0.213 0.250 0.548 (multiplicity 4)
O1 0.046 0.009 0.332 (multiplicity 8)
O2 0.105 0.750 0.608 (multiplicity 4)
O3 0.126 0.003 0.875 (multiplicity 8)
O4 0.138 0.250 0.155 (multiplicity 4)

***

No. 6
# Pr5As2ClO10
Computed X-ray powder pattern, Cu Kα (weighted mean of Kα1 and Kα2). Input: a structure optimized by DFT (PBE).
No peak broadening, texture or thermal motion is included.

The 8 most intense peaks (10° ≤ 2θ ≤ 90°), by angle:
two_theta  d [Å]  Rel. int.  index
26.18  3.404  27  3 1 -1
28.46  3.136  100  3 1 -2
30.41  2.940  99  1 1 2
30.93  2.891  39  0 2 0
31.66  2.826  27  4 0 0
42.97  2.105  20  2 2 -3
44.84  2.021  38  4 2 0
54.68  1.679  20  1 3 2

Cell: 12.635 5.783 9.217 Å, 90.00 116.53 90.00°
Space group C2/m (No. 12)
Inequivalent atoms, fractional coordinates:
Pr1 0.000 0.000 0.000 (multiplicity 2)
Pr2 0.000 0.500 0.292 (multiplicity 4)
Pr3 0.248 0.500 0.129 (multiplicity 4)
As1 0.215 0.000 0.391 (multiplicity 4)
Cl1 0.000 0.000 0.500 (multiplicity 2)
O1 0.120 0.254 0.916 (multiplicity 8)
O2 0.141 0.500 0.603 (multiplicity 4)
O3 0.142 0.235 0.246 (multiplicity 8)

***

No. 7
# SbAs2Cl13
Computed X-ray powder pattern, Cu Kα (weighted mean of Kα1 and Kα2). Input: a structure optimized by DFT (PBE).
No peak broadening, texture or thermal motion is included.

The 8 most intense peaks (10° ≤ 2θ ≤ 90°), by angle:
two_theta  d [Å]  Rel. int.  index
12.18  7.265  45  1 1 1
14.54  6.092  33  0 0 2
16.40  5.406  69  2 0 0
17.55  5.053  47  1 1 2
18.07  4.909  100  1 3 0
19.49  4.555  28  1 3 1
24.50  3.633  39  2 2 2
29.31  3.047  42  0 0 4

Cell: 10.812 16.537 12.183 Å, 90.00 90.00 90.00°
Space group Cmc2_1 (No. 36)
Inequivalent atoms, fractional coordinates:
Sb1 0.000 0.210 0.000 (multiplicity 4)
As1 0.000 0.143 0.462 (multiplicity 4)
As2 0.000 0.448 0.150 (multiplicity 4)
Cl1 0.000 0.089 0.111 (multiplicity 4)
Cl2 0.000 0.140 0.636 (multiplicity 4)
Cl3 0.000 0.264 0.409 (multiplicity 4)
Cl4 0.000 0.332 0.893 (multiplicity 4)
Cl5 0.000 0.442 0.335 (multiplicity 4)
Cl6 0.156 0.467 0.631 (multiplicity 8)
Cl7 0.158 0.084 0.402 (multiplicity 8)
Cl8 0.158 0.153 0.883 (multiplicity 8)
Cl9 0.159 0.266 0.118 (multiplicity 8)